This entry pairs a crystal structure of Pr5S8 with its calculated powder diffractogram. Radiation: Cu Ka. Structure: a DFT-relaxed cell (GGA-PBE, Alexandria).
Lines closer than 0.1° are merged.

Structural model:
Lattice parameters (Å, degrees): 8.4570 8.4570 8.4570 60.00 60.00 60.00
Atoms (fractional coordinates):
Pr1 0.0000 0.0000 0.0000
Pr2 0.3785 0.3785 0.3785
Pr3 0.3785 0.3785 0.8644
Pr4 0.3785 0.8644 0.3785
Pr5 0.8644 0.3785 0.3785
S1 0.1332 0.1332 0.1332
S2 0.1332 0.1332 0.6004
S3 0.1332 0.6004 0.1332
S4 0.1626 0.6125 0.6125
S5 0.6004 0.1332 0.1332
S6 0.6125 0.1626 0.6125
S7 0.6125 0.6125 0.1626
S8 0.6125 0.6125 0.6125

The 8 most intense peaks (10 to 90 degrees two-theta), low angle first:
2θ (°)  intensity
12.82  53
24.69  100
25.80  22
29.88  49
39.14  50
42.77  69
59.35  24
78.33  21

This entry pairs a crystal structure of In4Sn12Pb with its calculated powder diffractogram. Radiation: Cu Ka. Structure: a DFT-relaxed cell (GGA-PBE, Alexandria).
Lines closer than 0.1° are merged.

Structural model:
Lattice parameters (Å, degrees): 7.6742 8.8132 9.0813 98.38 109.60 114.92
Atoms (fractional coordinates):
In1 0.0000 0.0000 0.0000
In2 0.0000 0.5000 0.5000
In3 0.5000 0.0000 0.5000
In4 0.5000 0.5000 0.0000
Sn1 0.0024 0.2288 0.7195
Sn2 0.1107 0.1739 0.4133
Sn3 0.2546 0.8240 0.8949
Sn4 0.3510 0.5502 0.3575
Sn5 0.3975 0.1459 0.7691
Sn6 0.4724 0.2569 0.2534
Sn7 0.5276 0.7431 0.7466
Sn8 0.6025 0.8541 0.2309
Sn9 0.6490 0.4498 0.6425
Sn10 0.7454 0.1760 0.1051
Sn11 0.8893 0.8261 0.5867
Sn12 0.9976 0.7712 0.2805
Pb1 0.0000 0.5000 0.0000

The 8 most intense peaks (10 to 90 degrees two-theta), low angle first:
2θ (°)  intensity
26.42  25
28.60  22
30.29  24
30.59  44
30.96  26
31.35  100
32.58  22
39.97  21

This entry pairs a crystal structure of KNaPt with its calculated powder diffractogram. Radiation: Cu Ka. Structure: a DFT-relaxed cell (GGA-PBE, Alexandria).
Lines closer than 0.1° are merged.

Structural model:
Lattice parameters (Å, degrees): 12.4146 11.8299 5.6527 82.36 70.81 26.83
Atoms (fractional coordinates):
K1 0.0458 0.7042 0.0458
K2 0.2958 0.9542 0.2958
K3 0.7042 0.0458 0.7042
K4 0.9542 0.2958 0.9542
Na1 0.2796 0.2796 0.4704
Na2 0.4704 0.4704 0.2796
Na3 0.5296 0.5296 0.7204
Na4 0.7204 0.7204 0.5296
Pt1 0.0011 0.0011 0.2489
Pt2 0.2489 0.2489 0.0011
Pt3 0.7511 0.7511 0.9989
Pt4 0.9989 0.9989 0.7511

The 8 most intense peaks (10 to 90 degrees two-theta), low angle first:
2θ (°)  intensity
15.48  100
17.93  96
21.05  41
31.25  37
35.44  37
37.45  37
38.88  81
40.75  34

This entry pairs a crystal structure of Cs3TlCr2Br8 with its calculated powder diffractogram. Radiation: Cu Ka. Structure: a DFT-relaxed cell (GGA-PBE, Alexandria).
Lines closer than 0.1° are merged.

Structural model:
Lattice parameters (Å, degrees): 8.0927 8.0927 10.4087 90.00 90.00 120.00
Atoms (fractional coordinates):
Cs1 0.0000 0.0000 0.0000
Cs2 0.3333 0.6667 0.6187
Cs3 0.6667 0.3333 0.3813
Tl1 0.0000 0.0000 0.5000
Cr1 0.3333 0.6667 0.1921
Cr2 0.6667 0.3333 0.8079
Br1 0.1748 0.3496 0.3046
Br2 0.1748 0.8252 0.3046
Br3 0.3333 0.6667 0.9575
Br4 0.3496 0.1748 0.6954
Br5 0.6504 0.8252 0.3046
Br6 0.6667 0.3333 0.0425
Br7 0.8252 0.1748 0.6954
Br8 0.8252 0.6504 0.6954

The 8 most intense peaks (10 to 90 degrees two-theta), low angle first:
2θ (°)  intensity
21.26  32
21.97  100
26.84  62
27.93  64
28.71  37
30.76  80
43.31  32
44.80  54

This entry pairs a crystal structure of Ho3Cu8Hg with its calculated powder diffractogram. Radiation: Cu Ka. Structure: a DFT-relaxed cell (GGA-PBE, Alexandria).
Lines closer than 0.1° are merged.

Structural model:
Lattice parameters (Å, degrees): 8.9984 8.9984 8.9984 33.37 33.37 33.37
Atoms (fractional coordinates):
Ho1 0.0000 0.0000 0.0000
Ho2 0.1272 0.1272 0.1272
Ho3 0.5128 0.5128 0.5128
Cu1 0.0712 0.0712 0.5607
Cu2 0.0712 0.5607 0.0712
Cu3 0.0713 0.5681 0.5681
Cu4 0.3179 0.3179 0.3179
Cu5 0.5607 0.0712 0.0712
Cu6 0.5681 0.0713 0.5681
Cu7 0.5681 0.5681 0.0713
Cu8 0.8193 0.8193 0.8193
Hg1 0.6346 0.6346 0.6346

The 8 most intense peaks (10 to 90 degrees two-theta), low angle first:
2θ (°)  intensity
34.58  41
34.72  43
40.77  32
40.92  100
42.84  16
62.18  23
66.39  30
73.29  15

This entry pairs a crystal structure of Cs2Zn2Hg with its calculated powder diffractogram. Radiation: Cu Ka. Structure: a DFT-relaxed cell (GGA-PBE, Alexandria).
Lines closer than 0.1° are merged.

Structural model:
Lattice parameters (Å, degrees): 11.8788 11.8788 11.8788 159.90 159.90 28.58
Atoms (fractional coordinates):
Cs1 0.1138 0.1138 0.0000
Cs2 0.8862 0.8862 0.0000
Zn1 0.2500 0.7500 0.5000
Zn2 0.7500 0.2500 0.5000
Hg1 0.5000 0.5000 0.0000

The 8 most intense peaks (10 to 90 degrees two-theta), low angle first:
2θ (°)  intensity
24.40  94
28.98  100
31.08  35
31.48  61
43.65  31
50.39  30
53.25  37
54.55  28

This entry pairs a crystal structure of TbNpAl6 with its calculated powder diffractogram. Radiation: Cu Ka. Structure: a DFT-relaxed cell (GGA-PBE, Alexandria).
Lines closer than 0.1° are merged.

Structural model:
Lattice parameters (Å, degrees): 6.1831 6.1831 4.6809 90.00 90.00 120.00
Atoms (fractional coordinates):
Tb1 0.0000 0.0000 0.0000
Np1 0.3333 0.6667 0.5000
Al1 0.3649 0.1824 0.5000
Al2 0.5132 0.0263 0.0000
Al3 0.5132 0.4868 0.0000
Al4 0.8176 0.1824 0.5000
Al5 0.8176 0.6351 0.5000
Al6 0.9737 0.4868 0.0000

The 8 most intense peaks (10 to 90 degrees two-theta), low angle first:
2θ (°)  intensity
16.56  38
25.27  100
28.88  45
33.47  21
38.46  19
38.75  83
48.80  22
49.04  29

This entry pairs a crystal structure of SmB6 with its calculated powder diffractogram. Radiation: Cu Ka. Structure: a DFT-relaxed cell (GGA-PBE, Alexandria).
Lines closer than 0.1° are merged.

Structural model:
Lattice parameters (Å, degrees): 4.1198 4.1198 4.1198 90.00 90.00 90.00
Atoms (fractional coordinates):
Sm1 0.0000 0.0000 0.0000
B1 0.1995 0.5000 0.5000
B2 0.5000 0.1995 0.5000
B3 0.5000 0.5000 0.1995
B4 0.5000 0.5000 0.8005
B5 0.5000 0.8005 0.5000
B6 0.8005 0.5000 0.5000

The 8 most intense peaks (10 to 90 degrees two-theta), low angle first:
2θ (°)  intensity
21.57  67
30.69  100
37.82  42
43.96  21
49.47  50
54.56  28
68.30  28
72.56  20

This entry pairs a crystal structure of Tb10Tm4Pu with its calculated powder diffractogram. Radiation: Cu Ka. Structure: a DFT-relaxed cell (GGA-PBE, Alexandria).
Lines closer than 0.1° are merged.

Structural model:
Lattice parameters (Å, degrees): 8.8181 8.8181 8.8181 100.82 100.82 128.65
Atoms (fractional coordinates):
Tb1 0.0056 0.2156 0.7900
Tb2 0.2156 0.0056 0.7900
Tb3 0.2156 0.4257 0.2100
Tb4 0.2500 0.7500 0.5000
Tb5 0.4257 0.2156 0.2100
Tb6 0.5743 0.7844 0.7900
Tb7 0.7500 0.2500 0.5000
Tb8 0.7844 0.5743 0.7900
Tb9 0.7844 0.9944 0.2100
Tb10 0.9944 0.7844 0.2100
Tm1 0.2669 0.2669 0.5338
Tm2 0.2669 0.7331 0.0000
Tm3 0.7331 0.2669 0.0000
Tm4 0.7331 0.7331 0.4662
Pu1 0.5000 0.5000 0.0000

The 8 most intense peaks (10 to 90 degrees two-theta), low angle first:
2θ (°)  intensity
28.25  39
30.98  39
31.85  98
32.51  100
34.47  42
41.48  41
45.66  26
68.10  38

This entry pairs a crystal structure of Cs2InSnI5 with its calculated powder diffractogram. Radiation: Cu Ka. Structure: a DFT-relaxed cell (GGA-PBE, Alexandria).
Lines closer than 0.1° are merged.

Structural model:
Lattice parameters (Å, degrees): 11.1219 11.1219 17.3762 90.00 90.00 154.25
Atoms (fractional coordinates):
Cs1 0.0881 0.9119 0.5000
Cs2 0.1387 0.8613 0.1469
Cs3 0.8613 0.1387 0.6469
Cs4 0.9119 0.0881 0.0000
In1 0.4619 0.5381 0.3014
In2 0.5381 0.4619 0.8014
Sn1 0.2223 0.7777 0.8750
Sn2 0.7777 0.2223 0.3750
I1 0.0822 0.9178 0.9226
I2 0.2634 0.7366 0.5000
I3 0.3046 0.6954 0.2563
I4 0.3675 0.6325 0.8326
I5 0.4973 0.5027 0.6183
I6 0.5027 0.4973 0.1183
I7 0.6325 0.3675 0.3326
I8 0.6954 0.3046 0.7563
I9 0.7366 0.2634 0.0000
I10 0.9178 0.0822 0.4226

The 8 most intense peaks (10 to 90 degrees two-theta), low angle first:
2θ (°)  intensity
21.04  45
24.00  100
25.17  43
26.72  35
27.33  27
27.61  32
36.24  42
44.65  23

This entry pairs a crystal structure of Pr2HoGa2 with its calculated powder diffractogram. Radiation: Cu Ka. Structure: a DFT-relaxed cell (GGA-PBE, Alexandria).
Lines closer than 0.1° are merged.

Structural model:
Lattice parameters (Å, degrees): 6.5044 6.5044 11.1518 117.91 117.91 42.50
Atoms (fractional coordinates):
Pr1 0.0226 0.0226 0.1856
Pr2 0.1900 0.1900 0.6020
Pr3 0.8100 0.8100 0.3980
Pr4 0.9774 0.9774 0.8144
Ho1 0.2932 0.2932 0.1410
Ho2 0.7068 0.7068 0.8590
Ga1 0.3748 0.3748 0.9272
Ga2 0.4611 0.4611 0.5910
Ga3 0.5389 0.5389 0.4090
Ga4 0.6252 0.6252 0.0728

The 8 most intense peaks (10 to 90 degrees two-theta), low angle first:
2θ (°)  intensity
29.32  41
29.66  36
30.56  100
31.12  23
32.81  60
35.77  19
36.77  40
38.17  48

This entry pairs a crystal structure of SmHoAlHg with its calculated powder diffractogram. Radiation: Cu Ka. Structure: a DFT-relaxed cell (GGA-PBE, Alexandria).
Lines closer than 0.1° are merged.

Structural model:
Lattice parameters (Å, degrees): 3.6142 3.6142 7.7074 90.00 90.00 90.00
Atoms (fractional coordinates):
Sm1 0.0000 0.0000 0.0000
Ho1 0.0000 0.0000 0.5209
Al1 0.5000 0.5000 0.7541
Hg1 0.5000 0.5000 0.2774

The 8 most intense peaks (10 to 90 degrees two-theta), low angle first:
2θ (°)  intensity
11.48  25
27.25  23
34.01  100
35.11  47
50.51  17
60.14  18
62.29  35
71.59  11

This entry pairs a crystal structure of Dy4HoIn2 with its calculated powder diffractogram. Radiation: Cu Ka. Structure: a DFT-relaxed cell (GGA-PBE, Alexandria).
Lines closer than 0.1° are merged.

Structural model:
Lattice parameters (Å, degrees): 9.0300 9.0300 5.3216 90.00 90.00 90.00
Atoms (fractional coordinates):
Dy1 0.0782 0.3323 0.0000
Dy2 0.1677 0.5782 0.5000
Dy3 0.3323 0.0782 0.0000
Dy4 0.4218 0.8323 0.5000
Dy5 0.5782 0.1677 0.5000
Dy6 0.6677 0.9218 0.0000
Dy7 0.8323 0.4218 0.5000
Dy8 0.9218 0.6677 0.0000
Ho1 0.0000 0.0000 0.5000
Ho2 0.5000 0.5000 0.0000
In1 0.2466 0.2466 0.5000
In2 0.2534 0.7466 0.0000
In3 0.7466 0.2534 0.0000
In4 0.7534 0.7534 0.5000

The 8 most intense peaks (10 to 90 degrees two-theta), low angle first:
2θ (°)  intensity
27.73  100
31.33  44
32.71  45
33.68  53
35.68  88
46.66  30
53.59  28
75.58  20